# TmWO4F
Calculated powder diffraction line list, Cu Kα. Input: a cell relaxed with GGA+U.

Structure:
```
data_TmWO4F
_cell_length_a 5.997
_cell_length_b 5.997
_cell_length_c 7.120
_cell_angle_alpha 105.25
_cell_angle_beta 105.25
_cell_angle_gamma 75.43
_space_group_name_H-M_alt 'P 1'
_space_group_IT_number 1
loop_
_space_group_symop_operation_xyz
'x,y,z'
loop_
_atom_site_label
_atom_site_fract_x
_atom_site_fract_y
_atom_site_fract_z
_atom_site_occupancy
Tm1 0.201 0.201 0.120 1
Tm2 0.799 0.799 0.880 1
W1 0.348 0.348 0.721 1
W2 0.652 0.652 0.279 1
O1 0.097 0.489 0.839 1
O2 0.258 0.258 0.456 1
O3 0.452 0.452 0.218 1
O4 0.489 0.097 0.839 1
O5 0.511 0.903 0.161 1
O6 0.548 0.548 0.782 1
O7 0.742 0.742 0.544 1
O8 0.903 0.511 0.161 1
F1 0.020 0.020 0.837 1
F2 0.980 0.980 0.163 1
```

Largest 8 diffraction maxima, low angle first, 2θ = 5–70°:
d/Å, I (rel.)
6.715, 33
4.473, 80
3.669, 100
3.257, 52
3.200, 89
2.887, 39
2.837, 37
1.834, 37